Dy2MgCuO5: simulated X-ray powder pattern (a wavelength of 1.5418 Å), based on a crystal structure in Alexandria, relaxed with PBE.
No peak broadening, texture or thermal motion is included.

Cell and atoms:
abc: 6.365 6.365 5.609
angles: 90.00 90.00 90.00
Space group P4/mbm (No. 127)
One atom of each set of equivalent atoms:
Dy 0.171 0.329 0.000 x4
Mg 0.000 0.000 0.500 x2
Cu 0.000 0.500 0.500 x2
O 0.000 0.000 0.000 x2
O 0.148 0.648 0.260 x8

Largest 8 diffraction maxima, by angle, 15° ≤ 2θ ≤ 90°:
- 15.80°, I 885, (0 0 1)
- 19.73°, I 288, (1 1 0)
- 31.43°, I 400, (2 1 0)
- 31.91°, I 385, (0 0 2)
- 32.34°, I 717, (2 0 1)
- 35.36°, I 1000, (2 1 1)
- 45.40°, I 695, (2 1 2)
- 48.03°, I 318, (3 1 1)